Theoretical powder diffractogram
Compound: La4Co2Cl
Radiation: a wavelength of 1.5418 Å
Structure: a structure optimized by DFT (GGA-PBE)
Peak positions follow from Bragg's law for the DFT cell and can differ from measured ones.

Structural model:
Cell: 4.0567 4.0567 42.4865 Å, 90.00 90.00 120.00°
Space group R-3m (No. 166, hexagonal axes)
Unique sites:
La 0.0000 0.0000 0.1240 [6 per cell]
La 0.0000 0.0000 0.2794 [6 per cell]
Co 0.0000 0.0000 0.4230 [6 per cell]
Cl 0.0000 0.0000 0.0000 [3 per cell]

Principal peaks in the range 15° ≤ 2θ ≤ 90°, in order of falling intensity:
2θ (°)	Rel. int.	(hkl)
29.4	100	1 0 7
44.7	43	1 1 0
37.6	33	1 0 13
27.5	26	0 1 5
50.2	21	0 1 20
54.4	17	0 2 7
39.2	15	0 1 14
30.5	14	0 1 8